[1]
For Tm6Cd2Rh, DFT lattice parameters and positions (PBE) gives the calculated PXRD pattern in this record (copper Kα).
Lines closer than 0.1° are merged.

Structure:
a = 3.698 Å, b = 14.805 Å, c = 8.595 Å
α = 90.00°, β = 90.00°, γ = 90.00°
Space group Amm2 (No. 38)
One atom of each set of equivalent atoms:
Tm: 0.000 0.000 0.000 (multiplicity 2)
Tm: 0.000 0.122 0.629 (multiplicity 4)
Tm: 0.500 0.000 0.360 (multiplicity 2)
Tm: 0.500 0.196 0.947 (multiplicity 4)
Cd: 0.000 0.167 0.251 (multiplicity 4)
Rh: 0.500 0.000 0.756 (multiplicity 2)

Largest 10 diffraction maxima, in order of falling intensity, 5 to 70 degrees two-theta:
2θ (°), d/Å, intensity, hkl
31.97, 2.800, 100, 1 0 2
34.23, 2.620, 50, 1 2 2
31.86, 2.809, 35, 0 4 2
59.87, 1.545, 29, 1 8 2
36.25, 2.478, 24, 0 3 3
40.32, 2.237, 17, 1 4 2
49.27, 1.849, 16, 2 0 0
62.72, 1.481, 14, 2 3 3
36.41, 2.468, 11, 0 6 0
40.41, 2.232, 9, 1 5 1

[2]
For Tm5CdRh4, DFT lattice parameters and positions (PBE) gives the calculated PXRD pattern in this record (copper Kα).
Lines closer than 0.1° are merged.

Structure:
a = 3.412 Å, b = 3.412 Å, c = 17.677 Å
α = 90.00°, β = 90.00°, γ = 90.00°
Space group P4/mmm (No. 123)
One atom of each set of equivalent atoms:
Tm: 0.000 0.000 0.000 (multiplicity 1)
Tm: 0.000 0.000 0.190 (multiplicity 2)
Tm: 0.000 0.000 0.378 (multiplicity 2)
Cd: 0.500 0.500 0.500 (multiplicity 1)
Rh: 0.500 0.500 0.095 (multiplicity 2)
Rh: 0.500 0.500 0.287 (multiplicity 2)

Largest 10 diffraction maxima, in order of falling intensity, 5 to 70 degrees two-theta:
2θ (°), d/Å, intensity, hkl
36.60, 2.455, 100, 1 0 5
37.26, 2.413, 56, 1 1 0
66.76, 1.401, 34, 2 1 5
53.72, 1.706, 20, 2 0 0
65.45, 1.426, 11, 1 1 10
40.45, 2.230, 10, 1 0 6
26.11, 3.412, 7, 1 0 0
51.71, 1.768, 5, 0 0 10
33.17, 2.701, 4, 1 0 4
69.35, 1.355, 4, 2 1 6

[3]
For Tm3CdRh4, DFT lattice parameters and positions (PBE) gives the calculated PXRD pattern in this record (copper Kα).
Lines closer than 0.1° are merged.

Structure:
a = 4.7198 Å, b = 4.7198 Å, c = 23.0138 Å
α = 90.00°, β = 90.00°, γ = 120.00°
Space group R-3m (No. 166, hexagonal axes)
One atom of each set of equivalent atoms:
Tm: 0.0000 0.0000 0.0000 (multiplicity 3)
Tm: 0.0000 0.0000 0.2444 (multiplicity 6)
Cd: 0.0000 0.0000 0.5000 (multiplicity 3)
Rh: 0.0000 0.0000 0.1221 (multiplicity 6)
Rh: 0.0000 0.0000 0.3743 (multiplicity 6)

Largest 10 diffraction maxima, in order of falling intensity, 5 to 70 degrees two-theta:
2θ (°), d/Å, intensity, hkl
38.13, 2.360, 100, 1 1 0
38.26, 2.353, 96, 0 1 8
68.97, 1.362, 51, 3 0 0
55.13, 1.666, 33, 2 0 8
69.25, 1.357, 15, 1 0 16
26.75, 3.332, 8, 1 0 4
52.79, 1.734, 3, 1 1 9
47.19, 1.926, 2, 0 2 4
62.22, 1.492, 2, 2 1 4
35.08, 2.558, 2, 0 0 9

[4]
For TmCd3Rh, DFT lattice parameters and positions (PBE) gives the calculated PXRD pattern in this record (copper Kα).
Lines closer than 0.1° are merged.

Structure:
a = 9.422 Å, b = 3.991 Å, c = 11.846 Å
α = 90.00°, β = 90.00°, γ = 90.00°
Space group Pnma (No. 62)
One atom of each set of equivalent atoms:
Tm: 0.194 0.250 0.014 (multiplicity 4)
Cd: 0.041 0.250 0.413 (multiplicity 4)
Cd: 0.055 0.750 0.210 (multiplicity 4)
Cd: 0.186 0.750 0.793 (multiplicity 4)
Rh: 0.173 0.250 0.627 (multiplicity 4)

Largest 10 diffraction maxima, in order of falling intensity, 5 to 70 degrees two-theta:
2θ (°), d/Å, intensity, hkl
33.31, 2.690, 100, 1 1 3
33.08, 2.708, 67, 2 1 2
37.27, 2.413, 52, 2 1 3
39.56, 2.278, 48, 3 1 2
45.46, 1.995, 38, 0 2 0
39.21, 2.298, 33, 1 0 5
38.99, 2.310, 33, 4 0 1
29.40, 3.038, 22, 3 0 1
61.56, 1.506, 17, 1 2 5
61.40, 1.510, 16, 4 2 1

[5]
For UCdRh5, DFT lattice parameters and positions (PBE) gives the calculated PXRD pattern in this record (copper Kα).
Lines closer than 0.1° are merged.

Structure:
a = 3.910 Å, b = 3.910 Å, c = 7.802 Å
α = 90.00°, β = 90.00°, γ = 90.00°
Space group P4/mmm (No. 123)
One atom of each set of equivalent atoms:
U: 0.000 0.000 0.000 (multiplicity 1)
Cd: 0.500 0.500 0.500 (multiplicity 1)
Rh: 0.000 0.000 0.500 (multiplicity 1)
Rh: 0.000 0.500 0.230 (multiplicity 4)

Largest 10 diffraction maxima, in order of falling intensity, 5 to 70 degrees two-theta:
2θ (°), d/Å, intensity, hkl
39.97, 2.256, 100, 1 1 2
46.45, 1.955, 33, 2 0 0
67.85, 1.381, 30, 2 2 0
25.48, 3.495, 24, 1 0 1
46.56, 1.951, 15, 0 0 4
22.75, 3.910, 14, 1 0 0
32.42, 2.762, 11, 1 0 2
41.71, 2.165, 7, 1 0 3
53.73, 1.706, 7, 2 1 1
52.37, 1.747, 6, 2 1 0

[6]
For CdRhW, DFT lattice parameters and positions (PBE) gives the calculated PXRD pattern in this record (copper Kα).
Lines closer than 0.1° are merged.

Structure:
a = 2.949 Å, b = 3.483 Å, c = 9.994 Å
α = 90.00°, β = 90.00°, γ = 90.00°
Space group Pmmn (No. 59, origin choice 2)
One atom of each set of equivalent atoms:
Cd: 0.250 0.250 0.103 (multiplicity 2)
Rh: 0.250 0.250 0.720 (multiplicity 2)
W: 0.250 0.250 0.422 (multiplicity 2)

Largest 10 diffraction maxima, in order of falling intensity, 5 to 70 degrees two-theta:
2θ (°), d/Å, intensity, hkl
37.35, 2.407, 100, 0 1 3
40.06, 2.251, 94, 1 1 0
40.87, 2.208, 78, 1 0 3
8.85, 9.994, 76, 0 0 1
68.64, 1.367, 33, 1 2 3
52.55, 1.741, 21, 0 2 0
44.63, 2.030, 14, 0 1 4
63.05, 1.474, 12, 2 0 0
47.71, 1.906, 12, 1 0 4
55.14, 1.666, 11, 0 0 6

[7]
For Y3Cd2Rh3, DFT lattice parameters and positions (PBE) gives the calculated PXRD pattern in this record (copper Kα).
Lines closer than 0.1° are merged.

Structure:
a = 8.3023 Å, b = 8.3023 Å, c = 5.7738 Å
α = 90.00°, β = 90.00°, γ = 120.00°
Space group P6_3/mcm (No. 193)
One atom of each set of equivalent atoms:
Y: 0.0000 0.2762 0.2500 (multiplicity 6)
Cd: 0.3333 0.6667 0.0000 (multiplicity 4)
Rh: 0.0000 0.3834 0.7500 (multiplicity 6)

Largest 10 diffraction maxima, in order of falling intensity, 5 to 70 degrees two-theta:
2θ (°), d/Å, intensity, hkl
37.96, 2.370, 100, 1 1 2
37.53, 2.397, 87, 3 0 0
36.54, 2.459, 62, 2 1 1
12.31, 7.190, 35, 1 0 0
54.45, 1.685, 24, 2 2 2
48.28, 1.885, 21, 3 1 1
32.96, 2.718, 19, 2 1 0
58.80, 1.570, 17, 2 1 3
30.98, 2.887, 16, 0 0 2
68.00, 1.379, 15, 4 1 2

[8]
For Y6Cd5Rh, DFT lattice parameters and positions (PBE) gives the calculated PXRD pattern in this record (copper Kα).
Lines closer than 0.1° are merged.

Structure:
a = 5.213 Å, b = 15.617 Å, c = 7.433 Å
α = 90.00°, β = 90.00°, γ = 90.00°
Space group Cmmm (No. 65)
One atom of each set of equivalent atoms:
Y: 0.000 0.000 0.232 (multiplicity 4)
Y: 0.000 0.343 0.240 (multiplicity 8)
Cd: 0.000 0.171 0.500 (multiplicity 4)
Cd: 0.000 0.177 0.000 (multiplicity 4)
Cd: 0.000 0.500 0.500 (multiplicity 2)
Rh: 0.000 0.500 0.000 (multiplicity 2)

Largest 10 diffraction maxima, in order of falling intensity, 5 to 70 degrees two-theta:
2θ (°), d/Å, intensity, hkl
34.28, 2.616, 100, 1 3 2
34.43, 2.605, 49, 2 0 0
61.58, 1.506, 32, 3 3 2
61.28, 1.513, 17, 2 0 4
49.49, 1.842, 16, 2 6 0
49.02, 1.858, 9, 0 0 4
64.73, 1.440, 2, 0 10 2
24.16, 3.683, 2, 1 3 0
33.45, 2.679, 1, 1 5 0
44.16, 2.051, 1, 1 7 0